[1]
Structure and theoretical powder XRD pattern of Mg7Cd3Ga2 (DFT lattice parameters and positions (PBE); λ = 1.5418 Å (Cu Kα)).

The 10 most intense peaks (2θ = 10–90°), sorted by position:
2θ 23.33, d = 3.812 Å, intensity 39.4
2θ 25.48, d = 3.496 Å, intensity 100.0
2θ 25.90, d = 3.440 Å, intensity 76.7
2θ 28.49, d = 3.133 Å, intensity 41.2
2θ 31.52, d = 2.838 Å, intensity 95.1
2θ 36.14, d = 2.485 Å, intensity 57.2
2θ 37.00, d = 2.430 Å, intensity 53.5
2θ 42.07, d = 2.148 Å, intensity 34.6
2θ 45.46, d = 1.995 Å, intensity 41.3
2θ 52.69, d = 1.737 Å, intensity 37.3

a = 12.5455 Å, b = 12.5455 Å, c = 4.8592 Å
α = 90.00°, β = 90.00°, γ = 157.15°
Element x y z (fractional)
Mg (0.0000, 0.0000, 0.0000)
Mg (0.0788, 0.9212, 0.5000)
Mg (0.2200, 0.7800, 0.0000)
Mg (0.4187, 0.5813, 0.0000)
Mg (0.5813, 0.4187, 0.0000)
Mg (0.7800, 0.2200, 0.0000)
Mg (0.9212, 0.0788, 0.5000)
Cd (0.3077, 0.6923, 0.5000)
Cd (0.5000, 0.5000, 0.5000)
Cd (0.6923, 0.3077, 0.5000)
Ga (0.1156, 0.8844, 0.0000)
Ga (0.8844, 0.1156, 0.0000)

=====

[2]
Structure and theoretical powder XRD pattern of Mg10Cd3Ga3 (DFT lattice parameters and positions (PBE); λ = 1.5418 Å (Cu Kα)).

The 10 most intense peaks (2θ = 10–90°), sorted by position:
2θ 12.39, d = 7.141 Å, intensity 30.8
2θ 21.55, d = 4.123 Å, intensity 30.6
2θ 26.44, d = 3.371 Å, intensity 88.1
2θ 30.53, d = 2.928 Å, intensity 40.6
2θ 36.66, d = 2.451 Å, intensity 100.0
2θ 37.68, d = 2.387 Å, intensity 57.0
2θ 37.79, d = 2.380 Å, intensity 32.3
2θ 39.81, d = 2.264 Å, intensity 29.6
2θ 48.52, d = 1.876 Å, intensity 51.3
2θ 65.30, d = 1.429 Å, intensity 25.7

a = 8.2459 Å, b = 8.2459 Å, c = 5.8567 Å
α = 90.00°, β = 90.00°, γ = 120.00°
Element x y z (fractional)
Mg (0.0000, 0.2404, 0.0000)
Mg (0.0000, 0.7702, 0.5000)
Mg (0.2298, 0.2298, 0.5000)
Mg (0.2404, 0.0000, 0.0000)
Mg (0.3333, 0.6667, 0.2419)
Mg (0.3333, 0.6667, 0.7581)
Mg (0.6667, 0.3333, 0.2419)
Mg (0.6667, 0.3333, 0.7581)
Mg (0.7596, 0.7596, 0.0000)
Mg (0.7702, 0.0000, 0.5000)
Cd (0.0000, 0.4036, 0.5000)
Cd (0.4036, 0.0000, 0.5000)
Cd (0.5964, 0.5964, 0.5000)
Ga (0.0000, 0.6035, 0.0000)
Ga (0.3965, 0.3965, 0.0000)
Ga (0.6035, 0.0000, 0.0000)

=====

[3]
Structure and theoretical powder XRD pattern of Mg4CdGa9 (DFT lattice parameters and positions (PBE); λ = 1.5418 Å (Cu Kα)).

The 10 most intense peaks (2θ = 10–90°), sorted by position:
2θ 19.30, d = 4.599 Å, intensity 25.7
2θ 30.38, d = 2.943 Å, intensity 37.1
2θ 32.40, d = 2.763 Å, intensity 29.5
2θ 33.42, d = 2.681 Å, intensity 100.0
2θ 39.26, d = 2.295 Å, intensity 28.8
2θ 40.41, d = 2.232 Å, intensity 78.0
2θ 40.98, d = 2.202 Å, intensity 35.2
2θ 41.60, d = 2.171 Å, intensity 25.6
2θ 47.49, d = 1.915 Å, intensity 22.1
2θ 50.58, d = 1.805 Å, intensity 25.4

a = 9.4920 Å, b = 9.4920 Å, c = 9.4920 Å
α = 122.04°, β = 122.04°, γ = 86.50°
Element x y z (fractional)
Mg (0.0590, 0.5590, 0.8788)
Mg (0.1802, 0.0590, 0.5000)
Mg (0.3198, 0.8198, 0.8788)
Mg (0.4410, 0.3198, 0.5000)
Mg (0.5590, 0.6802, 0.5000)
Mg (0.6802, 0.1802, 0.1212)
Mg (0.8198, 0.9410, 0.5000)
Mg (0.9410, 0.4410, 0.1212)
Cd (0.2500, 0.2500, 0.0000)
Cd (0.7500, 0.7500, 0.0000)
Ga (0.0000, 0.5000, 0.5000)
Ga (0.0462, 0.2023, 0.2485)
Ga (0.0675, 0.7854, 0.5000)
Ga (0.2023, 0.9538, 0.1562)
Ga (0.2146, 0.7146, 0.2821)
Ga (0.2854, 0.5675, 0.5000)
Ga (0.2977, 0.4538, 0.7515)
Ga (0.4325, 0.9325, 0.7179)
Ga (0.4538, 0.7023, 0.1562)
Ga (0.5000, 0.0000, 0.5000)
Ga (0.5462, 0.2977, 0.8438)
Ga (0.5675, 0.0675, 0.2821)
Ga (0.7023, 0.5462, 0.2485)
Ga (0.7146, 0.4325, 0.5000)
Ga (0.7854, 0.2854, 0.7179)
Ga (0.7977, 0.0462, 0.8438)
Ga (0.9325, 0.2146, 0.5000)
Ga (0.9538, 0.7977, 0.7515)

=====

[4]
Structure and theoretical powder XRD pattern of Mg3CdGa12 (DFT lattice parameters and positions (PBE); λ = 1.5418 Å (Cu Kα)).

The 10 most intense peaks (2θ = 10–90°), sorted by position:
2θ 21.36, d = 4.161 Å, intensity 3.0
2θ 23.36, d = 3.808 Å, intensity 2.2
2θ 36.81, d = 2.442 Å, intensity 100.0
2θ 42.01, d = 2.151 Å, intensity 34.6
2θ 44.24, d = 2.047 Å, intensity 14.4
2θ 60.91, d = 1.521 Å, intensity 11.1
2θ 62.65, d = 1.483 Å, intensity 19.6
2θ 73.33, d = 1.291 Å, intensity 24.8
2θ 76.50, d = 1.245 Å, intensity 10.2
2θ 78.31, d = 1.221 Å, intensity 10.0

a = 4.3018 Å, b = 4.3018 Å, c = 16.3781 Å
α = 90.00°, β = 90.00°, γ = 90.00°
Element x y z (fractional)
Mg (0.0000, 0.0000, 0.0000)
Mg (0.0000, 0.0000, 0.2458)
Mg (0.0000, 0.0000, 0.7542)
Cd (0.0000, 0.0000, 0.5000)
Ga (0.0000, 0.5000, 0.1238)
Ga (0.0000, 0.5000, 0.3694)
Ga (0.0000, 0.5000, 0.6306)
Ga (0.0000, 0.5000, 0.8762)
Ga (0.5000, 0.0000, 0.1238)
Ga (0.5000, 0.0000, 0.3694)
Ga (0.5000, 0.0000, 0.6306)
Ga (0.5000, 0.0000, 0.8762)
Ga (0.5000, 0.5000, 0.0000)
Ga (0.5000, 0.5000, 0.2451)
Ga (0.5000, 0.5000, 0.5000)
Ga (0.5000, 0.5000, 0.7549)

=====

[5]
Structure and theoretical powder XRD pattern of Mg5CdGa3 (DFT lattice parameters and positions (PBE); λ = 1.5418 Å (Cu Kα)).

The 10 most intense peaks (2θ = 10–90°), sorted by position:
2θ 12.07, d = 7.331 Å, intensity 40.7
2θ 24.28, d = 3.666 Å, intensity 25.1
2θ 25.87, d = 3.443 Å, intensity 36.9
2θ 32.62, d = 2.745 Å, intensity 15.8
2θ 36.78, d = 2.444 Å, intensity 100.0
2θ 37.06, d = 2.426 Å, intensity 99.2
2θ 53.20, d = 1.722 Å, intensity 30.3
2θ 66.33, d = 1.409 Å, intensity 18.2
2θ 66.45, d = 1.407 Å, intensity 19.1
2θ 75.02, d = 1.266 Å, intensity 22.9

a = 8.4604 Å, b = 8.4604 Å, c = 5.9212 Å
α = 90.00°, β = 90.00°, γ = 60.11°
Element x y z (fractional)
Mg (0.1667, 0.1667, 0.0000)
Mg (0.1667, 0.1667, 0.5000)
Mg (0.1911, 0.5001, 0.2500)
Mg (0.1912, 0.8088, 0.7500)
Mg (0.5001, 0.1911, 0.7500)
Mg (0.4999, 0.8089, 0.2500)
Mg (0.8088, 0.1912, 0.2500)
Mg (0.8089, 0.4999, 0.7500)
Mg (0.8333, 0.8333, 0.0000)
Mg (0.8333, 0.8333, 0.5000)
Cd (0.5000, 0.5000, 0.0000)
Cd (0.5000, 0.5000, 0.5000)
Ga (0.1375, 0.4999, 0.7500)
Ga (0.1370, 0.8630, 0.2500)
Ga (0.4999, 0.1375, 0.2500)
Ga (0.5001, 0.8625, 0.7500)
Ga (0.8630, 0.1370, 0.7500)
Ga (0.8625, 0.5001, 0.2500)

=====

[6]
Structure and theoretical powder XRD pattern of Mg6CdGa6 (DFT lattice parameters and positions (PBE); λ = 1.5418 Å (Cu Kα)).

The 10 most intense peaks (2θ = 10–90°), sorted by position:
2θ 17.36, d = 5.108 Å, intensity 41.2
2θ 25.59, d = 3.481 Å, intensity 70.0
2θ 32.33, d = 2.769 Å, intensity 30.1
2θ 35.14, d = 2.554 Å, intensity 49.5
2θ 37.17, d = 2.419 Å, intensity 83.9
2θ 37.82, d = 2.379 Å, intensity 100.0
2θ 41.89, d = 2.156 Å, intensity 73.6
2θ 52.58, d = 1.741 Å, intensity 51.0
2θ 68.30, d = 1.373 Å, intensity 26.9
2θ 79.19, d = 1.210 Å, intensity 26.0

a = 5.4936 Å, b = 5.4936 Å, c = 10.2151 Å
α = 90.00°, β = 90.00°, γ = 120.00°
Element x y z (fractional)
Mg (0.0000, 0.0000, 0.1455)
Mg (0.0000, 0.0000, 0.8545)
Mg (0.3333, 0.6667, 0.0000)
Mg (0.3333, 0.6667, 0.5000)
Mg (0.6667, 0.3333, 0.0000)
Mg (0.6667, 0.3333, 0.5000)
Cd (0.0000, 0.0000, 0.5000)
Ga (0.0000, 0.5000, 0.2541)
Ga (0.0000, 0.5000, 0.7459)
Ga (0.5000, 0.0000, 0.2541)
Ga (0.5000, 0.0000, 0.7459)
Ga (0.5000, 0.5000, 0.2541)
Ga (0.5000, 0.5000, 0.7459)

=====

[7]
Structure and theoretical powder XRD pattern of Mg16CdGa12 (DFT lattice parameters and positions (PBE); λ = 1.5418 Å (Cu Kα)).

The 10 most intense peaks (2θ = 10–90°), sorted by position:
2θ 20.66, d = 4.298 Å, intensity 45.0
2θ 20.81, d = 4.268 Å, intensity 62.9
2θ 36.18, d = 2.483 Å, intensity 25.4
2θ 36.27, d = 2.477 Å, intensity 100.0
2θ 36.42, d = 2.467 Å, intensity 45.7
2θ 36.48, d = 2.463 Å, intensity 33.3
2θ 40.08, d = 2.250 Å, intensity 28.8
2θ 40.21, d = 2.243 Å, intensity 34.9
2θ 40.46, d = 2.230 Å, intensity 51.6
2θ 43.98, d = 2.059 Å, intensity 24.0

a = 9.0489 Å, b = 9.0489 Å, c = 9.1105 Å
α = 109.48°, β = 109.48°, γ = 108.98°
Element x y z (fractional)
Mg (0.0000, 0.0000, 0.0000)
Mg (0.0507, 0.6527, 0.3510)
Mg (0.0534, 0.3315, 0.6674)
Mg (0.2551, 0.9418, 0.2696)
Mg (0.3121, 0.6584, 0.6738)
Mg (0.3315, 0.0534, 0.6674)
Mg (0.3447, 0.6585, 0.0621)
Mg (0.3627, 0.9773, 0.9849)
Mg (0.6506, 0.6506, 0.3324)
Mg (0.6527, 0.0507, 0.3510)
Mg (0.6560, 0.6560, 0.6705)
Mg (0.6584, 0.3121, 0.6738)
Mg (0.6585, 0.3447, 0.0621)
Mg (0.9418, 0.2551, 0.2696)
Mg (0.9618, 0.9618, 0.3702)
Mg (0.9773, 0.3627, 0.9849)
Cd (0.2775, 0.2775, 0.9703)
Ga (0.0181, 0.8347, 0.6601)
Ga (0.0284, 0.6509, 0.8526)
Ga (0.2802, 0.2802, 0.4888)
Ga (0.2842, 0.4752, 0.3099)
Ga (0.4595, 0.8347, 0.4767)
Ga (0.4752, 0.2842, 0.3099)
Ga (0.4753, 0.4753, 0.8468)
Ga (0.6509, 0.0284, 0.8526)
Ga (0.6560, 0.8494, 0.0351)
Ga (0.8347, 0.0181, 0.6601)
Ga (0.8347, 0.4595, 0.4767)
Ga (0.8494, 0.6560, 0.0351)

=====

[8]
Structure and theoretical powder XRD pattern of Mg2CdGa2 (DFT lattice parameters and positions (PBE); λ = 1.5418 Å (Cu Kα)).

The 10 most intense peaks (2θ = 10–90°), sorted by position:
2θ 21.05, d = 4.220 Å, intensity 65.1
2θ 27.02, d = 3.300 Å, intensity 53.4
2θ 34.50, d = 2.599 Å, intensity 100.0
2θ 37.62, d = 2.391 Å, intensity 45.7
2θ 38.26, d = 2.352 Å, intensity 89.7
2θ 40.74, d = 2.215 Å, intensity 39.3
2θ 47.47, d = 1.915 Å, intensity 48.3
2θ 49.57, d = 1.839 Å, intensity 19.8
2θ 56.64, d = 1.625 Å, intensity 26.6
2θ 69.60, d = 1.351 Å, intensity 28.8

a = 4.4299 Å, b = 3.2996 Å, c = 7.2852 Å
α = 90.00°, β = 107.69°, γ = 90.00°
Element x y z (fractional)
Mg (0.1186, 0.0000, 0.2343)
Mg (0.8814, 0.0000, 0.7657)
Cd (0.5000, 0.5000, 0.0000)
Ga (0.2991, 0.5000, 0.5985)
Ga (0.7009, 0.5000, 0.4015)